No. 1
The following is a calculated XRD peak list of MnPIr2. It was derived from a structure optimized by DFT (PBE), using λ = 1.5418 Å (Cu Kα).

Cell: 3.681 5.438 5.438 Å, 30.07 90.00 90.00°
Element x y z (fractional)
Mn1 0.000 0.000 0.000
P1 0.500 0.588 0.588
Ir1 0.000 0.724 0.724
Ir2 0.500 0.370 0.370

Peak list (6 most intense, 2θ = 10–90°, in order of falling intensity)
2θ (°)	I/Imax
41.22	100
42.28	71
29.64	60
41.09	60
16.88	42
66.25	40



No. 2
The following is a calculated XRD peak list of UMnP2Ir2. It was derived from a structure optimized by DFT (PBE), using λ = 1.5418 Å (Cu Kα).

Cell: 3.781 6.495 7.428 Å, 90.00 90.00 90.00°
Element x y z (fractional)
U1 0.000 0.128 0.000
U2 0.000 0.872 0.500
Mn1 0.500 0.153 0.388
Mn2 0.500 0.847 0.888
P1 0.000 0.336 0.301
P2 0.000 0.664 0.801
P3 0.500 0.125 0.703
P4 0.500 0.875 0.203
Ir1 0.000 0.364 0.610
Ir2 0.000 0.636 0.110
Ir3 0.500 0.435 0.879
Ir4 0.500 0.565 0.379

Peak list (6 most intense, 2θ = 10–90°, in order of falling intensity)
2θ (°)	I/Imax
38.50	100
33.83	55
36.63	41
30.03	31
48.13	25
46.10	20



No. 3
The following is a calculated XRD peak list of MnIrPb4. It was derived from a structure optimized by DFT (PBE), using λ = 1.5418 Å (Cu Kα).

Cell: 6.188 6.188 6.188 Å, 60.00 60.00 60.00°
Element x y z (fractional)
Mn1 0.000 0.000 0.000
Ir1 0.250 0.250 0.250
Pb1 0.127 0.624 0.624
Pb2 0.624 0.127 0.624
Pb3 0.624 0.624 0.127
Pb4 0.624 0.624 0.624

Peak list (6 most intense, 2θ = 10–90°, in order of falling intensity)
2θ (°)	I/Imax
33.98	100
35.54	59
54.49	35
59.78	33
17.55	30
71.52	24



No. 4
The following is a calculated XRD peak list of PmMnIr. It was derived from a structure optimized by DFT (PBE), using λ = 1.5418 Å (Cu Kα).

Cell: 6.769 6.769 5.948 Å, 90.00 90.00 90.00°
Element x y z (fractional)
Pm1 0.250 0.250 0.000
Pm2 0.250 0.750 0.250
Pm3 0.750 0.250 0.750
Pm4 0.750 0.750 0.500
Mn1 0.129 0.129 0.500
Mn2 0.371 0.629 0.750
Mn3 0.629 0.371 0.250
Mn4 0.871 0.871 0.000
Ir1 0.129 0.871 0.750
Ir2 0.371 0.371 0.500
Ir3 0.629 0.629 0.000
Ir4 0.871 0.129 0.250

Peak list (6 most intense, 2θ = 10–90°, in order of falling intensity)
2θ (°)	I/Imax
35.54	100
33.21	74
18.54	45
26.33	37
42.87	36
58.31	33



No. 5
The following is a calculated XRD peak list of Pm2MnIr2. It was derived from a structure optimized by DFT (PBE), using λ = 1.5418 Å (Cu Kα).

Cell: 5.740 5.740 7.915 Å, 102.87 102.87 58.60°
Element x y z (fractional)
Pm1 0.008 0.287 0.149
Pm2 0.287 0.008 0.649
Pm3 0.713 0.992 0.351
Pm4 0.992 0.713 0.851
Mn1 0.375 0.625 0.250
Mn2 0.625 0.375 0.750
Ir1 0.229 0.504 0.493
Ir2 0.496 0.771 0.007
Ir3 0.504 0.229 0.993
Ir4 0.771 0.496 0.507

Peak list (6 most intense, 2θ = 10–90°, in order of falling intensity)
2θ (°)	I/Imax
37.37	100
40.36	75
37.67	64
37.16	54
31.56	46
35.30	46



No. 6
The following is a calculated XRD peak list of Pr2MnSi3Ir4. It was derived from a structure optimized by DFT (PBE), using λ = 1.5418 Å (Cu Kα).

Cell: 4.158 4.158 10.245 Å, 90.00 90.00 90.00°
Element x y z (fractional)
Pr1 0.000 0.500 0.249
Pr2 0.500 0.000 0.751
Mn1 0.500 0.500 0.000
Si1 0.000 0.000 0.000
Si2 0.000 0.500 0.626
Si3 0.500 0.000 0.374
Ir1 0.000 0.000 0.500
Ir2 0.000 0.500 0.864
Ir3 0.500 0.000 0.136
Ir4 0.500 0.500 0.500

Peak list (6 most intense, 2θ = 10–90°, in order of falling intensity)
2θ (°)	I/Imax
35.19	100
43.53	61
31.66	52
33.97	49
27.63	29
26.09	27



No. 7
The following is a calculated XRD peak list of Mn2IrPt9. It was derived from a structure optimized by DFT (PBE), using λ = 1.5418 Å (Cu Kα).

Cell: 3.934 3.934 11.836 Å, 90.00 90.00 90.00°
Element x y z (fractional)
Mn1 0.000 0.000 0.167
Mn2 0.000 0.000 0.833
Ir1 0.000 0.000 0.500
Pt1 0.000 0.500 0.000
Pt2 0.000 0.500 0.331
Pt3 0.000 0.500 0.669
Pt4 0.500 0.000 0.000
Pt5 0.500 0.000 0.331
Pt6 0.500 0.000 0.669
Pt7 0.500 0.500 0.165
Pt8 0.500 0.500 0.500
Pt9 0.500 0.500 0.835

Peak list (6 most intense, 2θ = 10–90°, in order of falling intensity)
2θ (°)	I/Imax
39.64	100
46.15	33
81.05	26
67.21	21
46.01	16
80.84	13



No. 8
The following is a calculated XRD peak list of MnIr5Pt2. It was derived from a structure optimized by DFT (PBE), using λ = 1.5418 Å (Cu Kα).

Cell: 8.249 8.249 8.249 Å, 152.93 152.93 38.66°
Element x y z (fractional)
Mn1 0.000 0.000 0.000
Ir1 0.118 0.618 0.500
Ir2 0.382 0.882 0.500
Ir3 0.500 0.500 0.000
Ir4 0.618 0.118 0.500
Ir5 0.882 0.382 0.500
Pt1 0.250 0.250 0.000
Pt2 0.750 0.750 0.000

Peak list (6 most intense, 2θ = 10–90°, in order of falling intensity)
2θ (°)	I/Imax
40.35	100
47.07	33
82.86	26
68.46	20
46.68	16
82.28	12